Entry 1:
Structure and simulated powder XRD pattern of Li4Ti11O24 (a structure optimized by DFT (PBE); Cu Kα X-rays).
Neutral-atom scattering factors, no anomalous dispersion.

```
Li4Ti11O24
1.0
5.063 0.000 0.000
-0.011 8.908 0.000
-0.006 -0.025 9.630
Li Ti O
4 11 24
Direct
0.000 0.000 0.000
0.002 0.668 0.993
0.537 0.832 0.100
0.637 0.658 0.492
0.009 0.992 0.312
0.012 0.330 0.315
0.064 0.667 0.302
0.085 0.835 0.594
0.111 0.495 0.591
0.122 0.163 0.588
0.513 0.161 0.097
0.542 0.503 0.094
0.577 0.661 0.821
0.589 0.990 0.817
0.629 0.322 0.817
0.218 0.836 0.226
0.238 0.165 0.226
0.255 0.995 0.489
0.258 0.498 0.228
0.263 0.333 0.489
0.268 0.667 0.487
0.369 0.010 0.978
0.369 0.654 0.982
0.384 0.831 0.726
0.399 0.332 0.986
0.403 0.499 0.722
0.412 0.169 0.722
0.744 0.330 0.180
0.763 0.014 0.172
0.777 0.506 0.913
0.779 0.832 0.904
0.780 0.159 0.912
0.783 0.647 0.170
0.860 0.825 0.417
0.875 0.168 0.418
0.876 0.500 0.417
0.879 0.664 0.665
0.900 0.001 0.677
0.911 0.333 0.682
```

Most intense lines, 15 to 90 degrees two-theta, most intense first:
19.8°, d 4.481, I 100; 33.0°, d 2.711, I 32; 36.3°, d 2.475, I 22; 35.5°, d 2.528, I 20; 51.0°, d 1.789, I 19; 39.8°, d 2.262, I 18; 52.5°, d 1.745, I 14; 45.3°, d 2.003, I 9; 66.3°, d 1.410, I 9; 62.6°, d 1.485, I 8

---

Entry 2:
Structure and simulated powder XRD pattern of Li2Ti7O15 (a structure optimized by DFT (PBE); Cu Kα X-rays).
Neutral-atom scattering factors, no anomalous dispersion.

```
Li2Ti7O15
1.0
9.100 -1.493 0.000
9.100 1.493 0.000
-1.417 0.000 9.448
Li Ti O
2 7 15
Direct
0.160 0.160 0.227
0.840 0.840 0.773
0.000 0.000 0.500
0.189 0.189 0.901
0.318 0.318 0.447
0.495 0.495 0.839
0.505 0.505 0.161
0.682 0.682 0.553
0.811 0.811 0.099
0.000 0.000 0.000
0.013 0.013 0.711
0.187 0.187 0.686
0.200 0.200 0.427
0.231 0.231 0.098
0.375 0.375 0.104
0.402 0.402 0.800
0.427 0.427 0.491
0.573 0.573 0.509
0.598 0.598 0.200
0.625 0.625 0.896
0.769 0.769 0.902
0.800 0.800 0.573
0.813 0.813 0.314
0.987 0.987 0.289
```

Most intense lines, 15 to 90 degrees two-theta, most intense first:
29.8°, d 3.000, I 100; 28.3°, d 3.149, I 80; 34.2°, d 2.618, I 79; 19.7°, d 4.500, I 76; 28.6°, d 3.120, I 72; 41.5°, d 2.178, I 56; 18.8°, d 4.724, I 50; 49.8°, d 1.831, I 47; 65.4°, d 1.426, I 46; 35.5°, d 2.529, I 44

---

Entry 3:
Structure and simulated powder XRD pattern of Li2Ti2O5 (a structure optimized by DFT (PBE); Cu Kα X-rays).
Neutral-atom scattering factors, no anomalous dispersion.

```
Li2Ti2O5
1.0
3.097 -7.887 0.000
3.097 7.887 0.000
0.000 0.000 5.290
Li Ti O
4 4 10
Direct
0.095 0.205 0.000
0.205 0.095 0.500
0.795 0.905 0.500
0.905 0.795 0.000
0.202 0.485 0.504
0.485 0.202 0.004
0.515 0.798 0.004
0.798 0.515 0.504
0.000 0.500 0.568
0.089 0.223 0.619
0.223 0.089 0.119
0.265 0.511 0.160
0.489 0.735 0.660
0.500 0.000 0.068
0.511 0.265 0.660
0.735 0.489 0.160
0.777 0.911 0.119
0.911 0.777 0.619
```

Most intense lines, 15 to 90 degrees two-theta, most intense first:
22.8°, d 3.898, I 100; 22.2°, d 4.009, I 52; 22.5°, d 3.943, I 52; 33.9°, d 2.645, I 27; 35.5°, d 2.532, I 27; 15.4°, d 5.766, I 19; 40.8°, d 2.210, I 18; 61.7°, d 1.504, I 16; 36.2°, d 2.482, I 15; 47.3°, d 1.922, I 13

---

Entry 4:
Structure and simulated powder XRD pattern of Li6Ti2O7 (a structure optimized by DFT (PBE); Cu Kα X-rays).
Neutral-atom scattering factors, no anomalous dispersion.

```
Li6Ti2O7
1.0
4.971 -2.929 0.000
4.971 2.929 0.000
-1.834 0.000 4.795
Li Ti O
6 2 7
Direct
0.130 0.130 0.186
0.143 0.589 0.229
0.411 0.857 0.771
0.589 0.143 0.229
0.857 0.411 0.771
0.870 0.870 0.814
0.365 0.365 0.739
0.635 0.635 0.261
0.000 0.500 0.500
0.245 0.245 0.947
0.272 0.728 0.000
0.500 0.000 0.500
0.500 0.500 0.500
0.728 0.272 0.000
0.755 0.755 0.053
```

Most intense lines, 15 to 90 degrees two-theta, most intense first:
17.9°, d 4.954, I 100; 44.2°, d 2.047, I 70; 21.4°, d 4.160, I 54; 28.3°, d 3.158, I 43; 43.5°, d 2.080, I 36; 23.2°, d 3.830, I 23; 64.7°, d 1.442, I 20; 62.9°, d 1.477, I 19; 52.8°, d 1.733, I 17; 50.1°, d 1.820, I 10

---

Entry 5:
Structure and simulated powder XRD pattern of Li7Ti11O24 (a structure optimized by DFT (PBE); Cu Kα X-rays).
Neutral-atom scattering factors, no anomalous dispersion.

```
Li7Ti11O24
1.0
9.905 -2.986 0.000
9.905 2.986 0.000
-3.605 0.000 7.647
Li Ti O
7 11 24
Direct
0.000 0.000 0.000
0.082 0.082 0.705
0.252 0.252 0.627
0.416 0.416 0.037
0.584 0.584 0.963
0.748 0.748 0.373
0.918 0.918 0.295
0.000 0.500 0.000
0.163 0.163 0.161
0.163 0.674 0.674
0.326 0.837 0.326
0.334 0.334 0.334
0.500 0.000 0.000
0.500 0.500 0.500
0.666 0.666 0.666
0.674 0.163 0.674
0.837 0.326 0.326
0.837 0.837 0.839
0.012 0.012 0.264
0.028 0.474 0.237
0.143 0.678 0.892
0.159 0.159 0.398
0.174 0.174 0.938
0.194 0.639 0.428
0.322 0.857 0.108
0.325 0.325 0.086
0.342 0.342 0.575
0.361 0.806 0.572
0.474 0.028 0.237
0.491 0.491 0.731
0.509 0.509 0.269
0.526 0.972 0.763
0.639 0.194 0.428
0.658 0.658 0.425
0.675 0.675 0.914
0.678 0.143 0.892
0.806 0.361 0.572
0.826 0.826 0.062
0.841 0.841 0.602
0.857 0.322 0.108
0.972 0.526 0.763
0.988 0.988 0.736
```

Most intense lines, 15 to 90 degrees two-theta, most intense first:
18.2°, d 4.878, I 100; 42.8°, d 2.112, I 61; 35.2°, d 2.547, I 44; 62.1°, d 1.494, I 36; 56.6°, d 1.626, I 21; 65.3°, d 1.428, I 13; 78.4°, d 1.220, I 9; 46.9°, d 1.938, I 7; 81.3°, d 1.183, I 7; 89.0°, d 1.100, I 6

---

Entry 6:
Structure and simulated powder XRD pattern of Li7Ti5O12 (a structure optimized by DFT (PBE); Cu Kα X-rays).
Neutral-atom scattering factors, no anomalous dispersion.

```
Li7Ti5O12
1.0
2.538 -4.397 0.000
2.538 4.397 0.000
-1.693 0.000 9.839
Li Ti O
7 5 12
Direct
0.000 0.000 0.000
0.081 0.407 0.244
0.245 0.245 0.756
0.407 0.081 0.244
0.593 0.919 0.756
0.755 0.755 0.244
0.919 0.593 0.756
0.167 0.833 0.500
0.333 0.667 0.000
0.500 0.500 0.500
0.667 0.333 0.000
0.833 0.167 0.500
0.038 0.683 0.113
0.126 0.126 0.378
0.206 0.540 0.619
0.317 0.962 0.887
0.392 0.392 0.113
0.460 0.794 0.381
0.540 0.206 0.619
0.608 0.608 0.887
0.683 0.038 0.113
0.794 0.460 0.381
0.874 0.874 0.622
0.962 0.317 0.887
```

Most intense lines, 15 to 90 degrees two-theta, most intense first:
43.3°, d 2.091, I 100; 18.0°, d 4.919, I 94; 35.9°, d 2.502, I 35; 62.2°, d 1.492, I 27; 63.5°, d 1.466, I 26; 56.8°, d 1.622, I 13; 66.6°, d 1.405, I 12; 79.9°, d 1.200, I 12; 47.2°, d 1.925, I 11; 20.4°, d 4.349, I 6

---

Entry 7:
Structure and simulated powder XRD pattern of LiTi6O12 (a structure optimized by DFT (PBE); Cu Kα X-rays).
Neutral-atom scattering factors, no anomalous dispersion.

```
LiTi6O12
1.0
5.850 0.000 0.000
0.000 9.625 0.000
-1.286 0.000 7.682
Li Ti O
2 12 24
Direct
0.046 0.000 0.229
0.954 0.500 0.771
0.036 0.328 0.232
0.136 0.608 0.428
0.196 0.096 0.898
0.323 0.811 0.087
0.371 0.323 0.564
0.474 0.595 0.764
0.526 0.095 0.236
0.629 0.823 0.436
0.677 0.311 0.913
0.804 0.596 0.102
0.864 0.108 0.572
0.964 0.828 0.768
0.036 0.924 0.988
0.058 0.231 0.471
0.114 0.688 0.193
0.127 0.994 0.685
0.203 0.494 0.648
0.211 0.176 0.145
0.276 0.730 0.858
0.302 0.424 0.349
0.362 0.924 0.314
0.381 0.234 0.805
0.445 0.686 0.528
0.466 0.993 0.017
0.534 0.493 0.983
0.555 0.186 0.472
0.619 0.734 0.195
0.638 0.424 0.686
0.698 0.924 0.651
0.724 0.230 0.142
0.789 0.676 0.855
0.797 0.994 0.352
0.873 0.494 0.315
0.886 0.188 0.807
0.942 0.731 0.529
0.964 0.424 0.012
```

Most intense lines, 15 to 90 degrees two-theta, most intense first:
19.9°, d 4.457, I 100; 33.1°, d 2.705, I 32; 51.2°, d 1.784, I 24; 36.3°, d 2.477, I 22; 39.9°, d 2.262, I 21; 35.4°, d 2.533, I 20; 60.1°, d 1.539, I 16; 52.6°, d 1.738, I 13; 66.2°, d 1.412, I 12; 45.3°, d 2.002, I 11